Structure and calculated XRD peak list of LiTiO2 (a PBE-relaxed structure; a wavelength of 1.5418 Å).
Kinematic intensities with the Lorentz-polarization factor, no thermal factor.

Main lines, low angle first (10 to 80 degrees two-theta):
2θ 24.16, d 3.683, rel. 100; 2θ 38.73, d 2.325, rel. 27; 2θ 42.66, d 2.119, rel. 40; 2θ 44.30, d 2.045, rel. 70; 2θ 51.09, d 1.788, rel. 22; 2θ 63.19, d 1.472, rel. 40

```
data_LiTiO2
_chemical_formula_sum 'Li2 Ti2 O4'
_space_group_name_H-M_alt 'P 1'
_space_group_IT_number 1
_cell_length_a 5.131
_cell_length_b 5.131
_cell_length_c 5.131
_cell_angle_alpha 133.03
_cell_angle_beta 133.03
_cell_angle_gamma 68.60
loop_
_space_group_symop_operation_xyz
'x,y,z'
loop_
_atom_site_label
_atom_site_fract_x
_atom_site_fract_y
_atom_site_fract_z
Li1 0.375 0.625 0.750
Li2 0.625 0.375 0.250
Ti1 0.125 0.875 0.250
Ti2 0.875 0.125 0.750
O1 0.125 0.375 0.750
O2 0.375 0.125 0.250
O3 0.625 0.875 0.750
O4 0.875 0.625 0.250
```